For HoEr6Tl5, a crystal structure in Alexandria, relaxed with PBE gives the simulated powder XRD pattern in this record (Cu Kα (λ = 1.5418 Å)).

Structure:
Cell lengths 4.971, 8.762, 15.097 Å; angles 90.00, 90.00, 90.00 degrees
Space group Immm (No. 71)
Asymmetric unit:
Ho (0.000, 0.000, 0.000) (multiplicity 2)
Er (0.000, 0.225, 0.500) (multiplicity 4)
Er (0.000, 0.264, 0.170) (multiplicity 8)
Tl (0.000, 0.000, 0.320) (multiplicity 4)
Tl (0.000, 0.500, 0.000) (multiplicity 2)
Tl (0.000, 0.500, 0.353) (multiplicity 4)

Peak list (10 most intense, 10 to 90 degrees two-theta, most intense first)
(1 2 3), 32.5°, I 100; (2 0 0), 36.1°, I 20; (0 0 6), 35.7°, I 18; (3 2 3), 62.7°, I 15; (0 4 0), 41.2°, I 13; (2 0 6), 51.7°, I 13; (1 2 9), 62.1°, I 12; (2 4 0), 56.0°, I 11; (2 4 6), 68.2°, I 10; (1 6 3), 69.7°, I 9